Diffraction record for Ir2RhPb. The powder X-ray diffraction pattern is theoretical, not measured: it uses a crystal structure in Alexandria, relaxed with PBE and Cu Kα (λ = 1.5418 Å).

Crystal structure
```
data_Ir2RhPb
_cell_length_a 3.9876
_cell_length_b 3.9876
_cell_length_c 4.1551
_cell_angle_alpha 90.00
_cell_angle_beta 90.00
_cell_angle_gamma 90.00
_symmetry_space_group_name_H-M 'P 4/m m m'
_symmetry_Int_Tables_number 123
_symmetry_space_group_name_Hall '-P 4 2'
loop_
_atom_site_label
_atom_site_fract_x
_atom_site_fract_y
_atom_site_fract_z
_atom_site_occupancy
Ir1 0.0000 0.5000 0.0000 1
Rh1 0.0000 0.0000 0.5000 1
Pb1 0.5000 0.5000 0.5000 1
```

Most intense lines, 2θ = 10–90°, in order of falling intensity:
38.59 deg, rel. 100
45.49 deg, rel. 32
79.42 deg, rel. 25
64.81 deg, rel. 22
43.56 deg, rel. 18
76.65 deg, rel. 14
82.73 deg, rel. 11
66.30 deg, rel. 10